Starting from a structure optimized by DFT (PBE), the powder diffraction line list of LaUCl6 was simulated for CuKα.
Neutral-atom scattering factors, no anomalous dispersion.

Crystal structure
a b c (Å): 7.4951 7.4951 4.3133
angles (deg): 90.00 90.00 120.00
Sites, in units of the cell vectors:
La1 0.0000 0.0000 0.0000
U1 0.3333 0.6667 0.5000
Cl1 0.0575 0.6342 0.0000
Cl2 0.2804 0.0287 0.5000
Cl3 0.3658 0.4233 0.0000
Cl4 0.5767 0.9425 0.0000
Cl5 0.7483 0.7196 0.5000
Cl6 0.9713 0.2517 0.5000

Largest 8 diffraction maxima, in order of falling intensity, 2θ from 5° to 70°:
d/Å, 2θ/deg, I (rel.)
6.491, 13.64, 100
2.593, 34.59, 78
3.592, 24.78, 72
2.133, 42.39, 68
3.748, 23.74, 47
2.164, 41.75, 29
1.408, 66.42, 24
1.527, 60.62, 19


Starting from a structure optimized by DFT (PBE), the powder diffraction line list of La2Zn2Cl was simulated for CuKα.
Neutral-atom scattering factors, no anomalous dispersion.

Crystal structure
a b c (Å): 4.3664 4.3664 7.7643
angles (deg): 90.00 90.00 120.00
Sites, in units of the cell vectors:
La1 0.0000 0.0000 0.2456
La2 0.0000 0.0000 0.7544
Zn1 0.3333 0.6667 0.0000
Zn2 0.6667 0.3333 0.0000
Cl1 0.6667 0.3333 0.5000

Largest 8 diffraction maxima, in order of falling intensity, 2θ from 5° to 70°:
d/Å, 2θ/deg, I (rel.)
2.709, 33.07, 100
2.183, 41.36, 41
3.781, 23.53, 31
1.700, 53.94, 24
1.451, 64.21, 21
7.764, 11.40, 19
1.941, 46.80, 9
1.727, 53.03, 7


Starting from a structure optimized by DFT (PBE), the powder diffraction line list of Rb2LiMoCl6 was simulated for CuKα.
Neutral-atom scattering factors, no anomalous dispersion.

Crystal structure
a b c (Å): 7.0845 7.0845 7.0845
angles (deg): 60.00 60.00 60.00
Sites, in units of the cell vectors:
Rb1 0.2500 0.2500 0.2500
Rb2 0.7500 0.7500 0.7500
Li1 0.0000 0.0000 0.0000
Mo1 0.5000 0.5000 0.5000
Cl1 0.2551 0.2551 0.7449
Cl2 0.2551 0.7449 0.2551
Cl3 0.2551 0.7449 0.7449
Cl4 0.7449 0.2551 0.2551
Cl5 0.7449 0.2551 0.7449
Cl6 0.7449 0.7449 0.2551

Largest 8 diffraction maxima, in order of falling intensity, 2θ from 5° to 70°:
d/Å, 2θ/deg, I (rel.)
2.505, 35.85, 100
3.542, 25.14, 88
2.892, 30.92, 69
1.771, 51.61, 65
5.784, 15.32, 47
2.045, 44.29, 39
1.510, 61.38, 24
3.021, 29.57, 23


Starting from a structure optimized by DFT (PBE), the powder diffraction line list of LiNb6Cl19 was simulated for CuKα.
Neutral-atom scattering factors, no anomalous dispersion.

Crystal structure
a b c (Å): 28.2557 6.8096 6.4759
angles (deg): 90.00 90.00 90.00
Sites, in units of the cell vectors:
Li1 0.0000 0.0000 0.0000
Li2 0.5000 0.0000 0.0000
Nb1 0.1059 0.2873 0.1587
Nb2 0.1059 0.7127 0.1587
Nb3 0.1898 0.5000 0.2859
Nb4 0.3102 0.5000 0.2859
Nb5 0.3941 0.2873 0.1587
Nb6 0.3941 0.7127 0.1587
Nb7 0.6059 0.2873 0.8413
Nb8 0.6059 0.7127 0.8413
Nb9 0.6898 0.5000 0.7141
Nb10 0.8102 0.5000 0.7141
Nb11 0.8941 0.2873 0.8413
Nb12 0.8941 0.7127 0.8413
Cl1 0.0510 0.5000 0.3392
Cl2 0.0560 0.0000 0.3107
Cl3 0.0556 0.2535 0.8619
Cl4 0.0556 0.7465 0.8619
Cl5 0.1510 0.2460 0.4808
Cl6 0.1510 0.7540 0.4808
Cl7 0.1535 0.0000 0.0156
Cl8 0.1549 0.5000 0.9394
Cl9 0.2500 0.2618 0.1390
Cl10 0.2500 0.5000 0.5813
Cl11 0.2500 0.7382 0.1390
Cl12 0.3451 0.5000 0.9394
Cl13 0.3465 0.0000 0.0156
Cl14 0.3490 0.2460 0.4808
Cl15 0.3490 0.7540 0.4808
Cl16 0.4440 0.0000 0.3107
Cl17 0.4444 0.2535 0.8619
Cl18 0.4444 0.7465 0.8619
Cl19 0.4490 0.5000 0.3392
Cl20 0.5510 0.5000 0.6608
Cl21 0.5560 0.0000 0.6893
Cl22 0.5556 0.2535 0.1381
Cl23 0.5556 0.7465 0.1381
Cl24 0.6510 0.2460 0.5192
Cl25 0.6510 0.7540 0.5192
Cl26 0.6535 0.0000 0.9844
Cl27 0.6549 0.5000 0.0606
Cl28 0.7500 0.2618 0.8610
Cl29 0.7500 0.5000 0.4187
Cl30 0.7500 0.7382 0.8610
Cl31 0.8451 0.5000 0.0606
Cl32 0.8465 0.0000 0.9844
Cl33 0.8490 0.2460 0.5192
Cl34 0.8490 0.7540 0.5192
Cl35 0.9440 0.0000 0.6893
Cl36 0.9444 0.2535 0.1381
Cl37 0.9444 0.7465 0.1381
Cl38 0.9490 0.5000 0.6608

Largest 8 diffraction maxima, in order of falling intensity, 2θ from 5° to 70°:
d/Å, 2θ/deg, I (rel.)
6.312, 14.03, 100
7.064, 12.53, 55
2.415, 37.23, 45
6.810, 13.00, 35
2.526, 35.54, 30
2.538, 35.36, 28
1.823, 50.03, 22
4.629, 19.17, 16


Starting from a structure optimized by DFT (PBE), the powder diffraction line list of Rb2LiPtCl6 was simulated for CuKα.
Neutral-atom scattering factors, no anomalous dispersion.

Crystal structure
a b c (Å): 7.1360 7.1360 7.1360
angles (deg): 120.08 120.08 89.86
Sites, in units of the cell vectors:
Rb1 0.2500 0.7500 0.5000
Rb2 0.7500 0.2500 0.5000
Li1 0.0000 0.0000 0.0000
Pt1 0.5000 0.5000 0.0000
Cl1 0.2379 0.2379 0.0000
Cl2 0.2666 0.2666 0.5333
Cl3 0.2666 0.7334 0.0000
Cl4 0.7334 0.2666 0.0000
Cl5 0.7334 0.7334 0.4667
Cl6 0.7621 0.7621 0.0000

Largest 8 diffraction maxima, in order of falling intensity, 2θ from 5° to 70°:
d/Å, 2θ/deg, I (rel.)
3.566, 24.97, 100
5.824, 15.21, 90
2.522, 35.60, 75
3.042, 29.36, 51
1.783, 51.23, 49
2.059, 43.97, 45
2.315, 38.91, 21
2.912, 30.70, 17


Starting from a structure optimized by DFT (PBE), the powder diffraction line list of Li2ZrCl6 was simulated for CuKα.
Neutral-atom scattering factors, no anomalous dispersion.

Crystal structure
a b c (Å): 6.2572 6.2572 5.7111
angles (deg): 90.00 90.00 120.00
Sites, in units of the cell vectors:
Li1 0.3333 0.6667 0.0000
Li2 0.6667 0.3333 0.0000
Zr1 0.0000 0.0000 0.5000
Cl1 0.0000 0.3277 0.2520
Cl2 0.0000 0.6723 0.7480
Cl3 0.3277 0.0000 0.2520
Cl4 0.3277 0.3277 0.7480
Cl5 0.6723 0.0000 0.7480
Cl6 0.6723 0.6723 0.2520

Largest 8 diffraction maxima, in order of falling intensity, 2θ from 5° to 70°:
d/Å, 2θ/deg, I (rel.)
2.744, 32.64, 100
3.931, 22.62, 61
5.419, 16.36, 58
2.109, 42.88, 47
1.806, 50.53, 31
5.711, 15.52, 18
1.626, 56.59, 17
2.448, 36.71, 17


Starting from a structure optimized by DFT (PBE), the powder diffraction line list of Lu3NCl6 was simulated for CuKα.
Neutral-atom scattering factors, no anomalous dispersion.

Crystal structure
a b c (Å): 6.8676 8.0118 9.6957
angles (deg): 76.80 71.05 66.34
Sites, in units of the cell vectors:
Lu1 0.0932 0.0986 0.1734
Lu2 0.2184 0.4305 0.2723
Lu3 0.2336 0.4230 0.8754
Lu4 0.7664 0.5770 0.1246
Lu5 0.7816 0.5695 0.7277
Lu6 0.9068 0.9014 0.8266
N1 0.0951 0.3727 0.1161
N2 0.9049 0.6273 0.8839
Cl1 0.0421 0.1706 0.8960
Cl2 0.1918 0.4187 0.5963
Cl3 0.2165 0.1104 0.3952
Cl4 0.3257 0.7159 0.2907
Cl5 0.3314 0.7415 0.7140
Cl6 0.5000 0.0000 0.0000
Cl7 0.5000 0.5000 0.0000
Cl8 0.6686 0.2585 0.2860
Cl9 0.6743 0.2841 0.7093
Cl10 0.7835 0.8896 0.6048
Cl11 0.8082 0.5813 0.4037
Cl12 0.9579 0.8294 0.1040

Largest 8 diffraction maxima, in order of falling intensity, 2θ from 5° to 70°:
d/Å, 2θ/deg, I (rel.)
9.111, 9.71, 100
4.548, 19.52, 72
2.597, 34.54, 68
6.064, 14.61, 63
7.291, 12.14, 60
2.575, 34.84, 58
2.504, 35.86, 55
2.563, 35.01, 51


Starting from a structure optimized by DFT (PBE), the powder diffraction line list of Na2Lu3Te4Cl3O12 was simulated for CuKα.
Neutral-atom scattering factors, no anomalous dispersion.

Crystal structure
a b c (Å): 12.0565 12.0565 16.2878
angles (deg): 132.42 132.42 25.94
Sites, in units of the cell vectors:
Na1 0.0660 0.6030 0.9241
Na2 0.3970 0.9340 0.5759
Na3 0.6030 0.0660 0.4241
Na4 0.9340 0.3970 0.0759
Lu1 0.2463 0.7535 0.5834
Lu2 0.2465 0.7537 0.9166
Lu3 0.2541 0.7459 0.2500
Lu4 0.7459 0.2541 0.7500
Lu5 0.7535 0.2463 0.0834
Lu6 0.7537 0.2465 0.4166
Te1 0.0758 0.6558 0.3002
Te2 0.1590 0.5676 0.5957
Te3 0.3442 0.9242 0.1998
Te4 0.4324 0.8410 0.9043
Te5 0.5676 0.1590 0.0957
Te6 0.6558 0.0758 0.8002
Te7 0.8410 0.4324 0.4043
Te8 0.9242 0.3442 0.6998
Cl1 0.0000 0.5000 0.0000
Cl2 0.0026 0.4970 0.6686
Cl3 0.4970 0.0026 0.1686
Cl4 0.5000 0.0000 0.5000
Cl5 0.5030 0.9974 0.8314
Cl6 0.9974 0.5030 0.3314
O1 0.0047 0.8609 0.2854
O2 0.0339 0.1135 0.3879
O3 0.0665 0.0996 0.0750
O4 0.0996 0.0665 0.5750
O5 0.1135 0.0339 0.8879
O6 0.1391 0.9953 0.2146
O7 0.3617 0.4956 0.7455
O8 0.3885 0.4720 0.4118
O9 0.3987 0.4310 0.0727
O10 0.4310 0.3987 0.5727
O11 0.4720 0.3885 0.9118
O12 0.4956 0.3617 0.2455
O13 0.5044 0.6383 0.7545
O14 0.5280 0.6115 0.0882
O15 0.5690 0.6013 0.4273
O16 0.6013 0.5690 0.9273
O17 0.6115 0.5280 0.5882
O18 0.6383 0.5044 0.2545
O19 0.8609 0.0047 0.7854
O20 0.8865 0.9661 0.1121
O21 0.9004 0.9335 0.4250
O22 0.9335 0.9004 0.9250
O23 0.9661 0.8865 0.6121
O24 0.9953 0.1391 0.7146

Largest 8 diffraction maxima, in order of falling intensity, 2θ from 5° to 70°:
d/Å, 2θ/deg, I (rel.)
2.843, 31.46, 100
8.479, 10.43, 52
3.493, 25.50, 33
1.916, 47.44, 17
1.587, 58.12, 17
2.706, 33.11, 16
2.714, 33.00, 15
4.393, 20.21, 12